1.
Simulated powder XRD pattern
Compound: Np2PdSe4S
Radiation: Cu Kα (weighted mean of Kα1 and Kα2)
Structure: DFT lattice parameters and positions (GGA-PBE)
Neutral-atom scattering factors, no anomalous dispersion.

Main lines, in order of rising 2θ (5° ≤ 2θ ≤ 70°):
Position (°2θ)	Rel. int.
23.0	61
23.6	49
24.1	52
32.7	74
35.4	61
35.8	45
36.0	100
38.4	57

Crystal structure
abc: 6.131 6.131 8.073
angles: 108.66 108.66 37.26
Fractional positions:
Np  0.155  0.155  0.185
Np  0.845  0.845  0.815
Pd  0.000  0.000  0.500
Se  0.166  0.166  0.818
Se  0.361  0.361  0.540
Se  0.639  0.639  0.460
Se  0.834  0.834  0.182
S  0.500  0.500  0.000

2.
Simulated powder XRD pattern
Compound: RbDyRu2O8
Radiation: Cu Kα (weighted mean of Kα1 and Kα2)
Structure: DFT lattice parameters and positions (GGA-PBE)
Neutral-atom scattering factors, no anomalous dispersion.

Main lines, in order of rising 2θ (5° ≤ 2θ ≤ 70°):
Position (°2θ)	Rel. int.
17.2	26
20.4	100
28.1	85
29.9	70
41.5	38
47.9	19
52.1	31
55.1	28

Crystal structure
abc: 5.968 5.968 8.041
angles: 90.00 90.00 120.00
Fractional positions:
Rb  0.000  0.000  0.000
Dy  0.000  0.000  0.500
Ru  0.333  0.667  0.751
Ru  0.667  0.333  0.249
O  0.155  0.338  0.675
O  0.183  0.845  0.675
O  0.333  0.667  0.969
O  0.338  0.183  0.325
O  0.662  0.817  0.675
O  0.667  0.333  0.031
O  0.817  0.155  0.325
O  0.845  0.662  0.325

3.
Simulated powder XRD pattern
Compound: Ba3Rh3Pb
Radiation: Cu Kα (weighted mean of Kα1 and Kα2)
Structure: DFT lattice parameters and positions (GGA-PBE)
Neutral-atom scattering factors, no anomalous dispersion.

Main lines, in order of rising 2θ (5° ≤ 2θ ≤ 70°):
Position (°2θ)	Rel. int.
27.5	39
28.7	50
29.8	78
30.3	57
32.0	100
35.1	63
35.5	42
38.8	90

Crystal structure
abc: 6.340 6.340 14.670
angles: 90.00 90.00 137.02
Fractional positions:
Ba  0.003  0.997  0.750
Ba  0.282  0.718  0.109
Ba  0.282  0.718  0.391
Ba  0.718  0.282  0.609
Ba  0.718  0.282  0.891
Ba  0.997  0.003  0.250
Rh  0.319  0.681  0.750
Rh  0.432  0.568  0.590
Rh  0.432  0.568  0.910
Rh  0.568  0.432  0.090
Rh  0.568  0.432  0.410
Rh  0.681  0.319  0.250
Pb  0.000  0.000  0.000
Pb  0.000  0.000  0.500

4.
Simulated powder XRD pattern
Compound: Dy7ZnS5
Radiation: Cu Kα (weighted mean of Kα1 and Kα2)
Structure: DFT lattice parameters and positions (GGA-PBE)
Neutral-atom scattering factors, no anomalous dispersion.

Main lines, in order of rising 2θ (5° ≤ 2θ ≤ 70°):
Position (°2θ)	Rel. int.
28.0	25
28.3	55
30.1	100
31.9	87
33.1	59
45.7	25
46.5	58
56.4	26

Crystal structure
abc: 3.903 6.721 23.440
angles: 89.94 90.00 73.22
Fractional positions:
Dy  0.028  0.444  0.250
Dy  0.136  0.228  0.964
Dy  0.137  0.226  0.536
Dy  0.317  0.867  0.325
Dy  0.318  0.863  0.175
Dy  0.410  0.680  0.891
Dy  0.411  0.678  0.609
Dy  0.589  0.322  0.391
Dy  0.590  0.320  0.109
Dy  0.682  0.137  0.825
Dy  0.683  0.133  0.675
Dy  0.863  0.774  0.464
Dy  0.864  0.772  0.036
Dy  0.972  0.556  0.750
Zn  0.298  0.903  0.751
Zn  0.702  0.097  0.249
S  0.047  0.406  0.641
S  0.047  0.406  0.859
S  0.226  0.048  0.430
S  0.226  0.049  0.070
S  0.500  0.500  0.000
S  0.500  0.500  0.500
S  0.774  0.951  0.930
S  0.774  0.952  0.570
S  0.953  0.594  0.141
S  0.953  0.594  0.359

5.
Simulated powder XRD pattern
Compound: CsRbHg
Radiation: Cu Kα (weighted mean of Kα1 and Kα2)
Structure: DFT lattice parameters and positions (GGA-PBE)
Neutral-atom scattering factors, no anomalous dispersion.

Main lines, in order of rising 2θ (5° ≤ 2θ ≤ 70°):
Position (°2θ)	Rel. int.
10.6	52
24.7	100
24.9	34
26.7	70
32.8	36
38.1	14
38.2	13
45.9	25

Crystal structure
abc: 4.729 9.002 9.424
angles: 105.56 90.09 105.18
Fractional positions:
Cs  0.133  0.264  0.070
Cs  0.867  0.736  0.930
Rb  0.131  0.261  0.564
Rb  0.869  0.739  0.436
Hg  0.499  0.999  0.257
Hg  0.501  0.001  0.743

6.
Simulated powder XRD pattern
Compound: K4Tm3ZrTe8
Radiation: Cu Kα (weighted mean of Kα1 and Kα2)
Structure: DFT lattice parameters and positions (GGA-PBE)
Neutral-atom scattering factors, no anomalous dispersion.

Main lines, in order of rising 2θ (5° ≤ 2θ ≤ 70°):
Position (°2θ)	Rel. int.
10.7	49
27.5	100
34.6	21
37.4	34
41.1	36
46.9	14
50.1	19
66.8	15

Crystal structure
abc: 9.691 9.691 9.691
angles: 53.94 53.94 53.94
Fractional positions:
K  0.000  0.000  0.000
K  0.000  0.500  0.500
K  0.500  0.000  0.500
K  0.500  0.500  0.000
Tm  0.000  0.000  0.500
Tm  0.000  0.500  0.000
Tm  0.500  0.000  0.000
Zr  0.500  0.500  0.500
Te  0.236  0.236  0.236
Te  0.242  0.731  0.731
Te  0.269  0.269  0.758
Te  0.269  0.758  0.269
Te  0.731  0.242  0.731
Te  0.731  0.731  0.242
Te  0.758  0.269  0.269
Te  0.764  0.764  0.764

7.
Simulated powder XRD pattern
Compound: CaPrHoCd
Radiation: Cu Kα (weighted mean of Kα1 and Kα2)
Structure: DFT lattice parameters and positions (GGA-PBE)
Neutral-atom scattering factors, no anomalous dispersion.

Main lines, in order of rising 2θ (5° ≤ 2θ ≤ 70°):
Position (°2θ)	Rel. int.
9.3	42
30.9	100
34.7	40
37.6	14
49.9	14
52.4	17
59.8	30
64.1	11

Crystal structure
abc: 3.656 3.656 9.486
angles: 90.00 90.00 90.00
Fractional positions:
Ca  0.000  0.000  0.000
Pr  0.500  0.500  0.313
Ho  0.000  0.000  0.574
Cd  0.500  0.500  0.777

8.
Simulated powder XRD pattern
Compound: Mg5Cd4In4
Radiation: Cu Kα (weighted mean of Kα1 and Kα2)
Structure: DFT lattice parameters and positions (GGA-PBE)
Neutral-atom scattering factors, no anomalous dispersion.

Main lines, in order of rising 2θ (5° ≤ 2θ ≤ 70°):
Position (°2θ)	Rel. int.
10.9	21
26.0	11
34.2	100
39.2	16
39.9	29
57.2	22
67.9	13
68.8	21

Crystal structure
abc: 8.465 8.465 8.465
angles: 94.22 94.22 148.51
Fractional positions:
Mg  0.000  0.000  0.000
Mg  0.310  0.452  0.762
Mg  0.452  0.690  0.142
Mg  0.548  0.310  0.858
Mg  0.690  0.548  0.238
Cd  0.143  0.222  0.366
Cd  0.222  0.857  0.079
Cd  0.778  0.143  0.921
Cd  0.857  0.778  0.634
In  0.088  0.618  0.705
In  0.382  0.088  0.470
In  0.618  0.912  0.530
In  0.912  0.382  0.295